For NaLi5N2, a GGA-PBE-relaxed structure gives the theoretical X-ray powder pattern in this record (Cu Kα (λ = 1.5418 Å)).
Kinematic intensities with the Lorentz-polarization factor, no thermal factor.

Main lines, low angle first (15 to 90 degrees two-theta):
2θ/deg, I/Imax
23.1, 92
26.3, 40
27.4, 100
33.4, 29
35.1, 27
36.3, 30
36.5, 52
44.1, 29
48.0, 78
48.6, 54

Structural model:
```
data_NaLi5N2
_chemical_formula_sum 'Na1 Li5 N2'
_symmetry_space_group_name_H-M 'P 1'
_symmetry_Int_Tables_number 1
_symmetry_space_group_name_Hall 'P 1'
_cell_length_a 3.852
_cell_length_b 3.748
_cell_length_c 6.601
_cell_angle_alpha 90.00
_cell_angle_beta 92.37
_cell_angle_gamma 90.00
loop_
_atom_site_label
_atom_site_type_symbol
_atom_site_fract_x
_atom_site_fract_y
_atom_site_fract_z
_atom_site_occupancy
Na1 Na 0.000 0.000 0.000 1
Li1 Li 0.197 0.000 0.367 1
Li2 Li 0.264 0.500 0.757 1
Li3 Li 0.629 0.500 0.126 1
Li4 Li 0.716 0.000 0.660 1
Li5 Li 0.727 0.500 0.466 1
N1 N 0.687 0.000 0.323 1
N2 N 0.766 0.500 0.790 1
```

For Na2LiN4, a GGA-PBE-relaxed structure gives the theoretical X-ray powder pattern in this record (Cu Kα (λ = 1.5418 Å)).
Kinematic intensities with the Lorentz-polarization factor, no thermal factor.

Main lines, low angle first (15 to 90 degrees two-theta):
2θ/deg, I/Imax
22.3, 42
30.3, 81
31.2, 63
36.1, 100
39.1, 45
43.3, 34
44.8, 45
45.5, 26
54.3, 37
59.1, 25

Structural model:
```
data_Na2LiN4
_chemical_formula_sum 'Na4 Li2 N8'
_symmetry_space_group_name_H-M 'P 1'
_symmetry_Int_Tables_number 1
_symmetry_space_group_name_Hall 'P 1'
_cell_length_a 6.579
_cell_length_b 6.579
_cell_length_c 6.579
_cell_angle_alpha 105.48
_cell_angle_beta 91.07
_cell_angle_gamma 135.60
loop_
_atom_site_label
_atom_site_type_symbol
_atom_site_fract_x
_atom_site_fract_y
_atom_site_fract_z
_atom_site_occupancy
Na1 Na 0.150 0.130 0.280 1
Na2 Na 0.350 0.630 0.980 1
Na3 Na 0.650 0.370 0.020 1
Na4 Na 0.850 0.870 0.720 1
Li1 Li 0.250 0.750 0.500 1
Li2 Li 0.750 0.250 0.500 1
N1 N 0.085 0.682 0.766 1
N2 N 0.115 0.831 0.946 1
N3 N 0.385 0.331 0.716 1
N4 N 0.415 0.182 0.597 1
N5 N 0.585 0.818 0.403 1
N6 N 0.615 0.669 0.284 1
N7 N 0.885 0.169 0.054 1
N8 N 0.915 0.318 0.234 1
```

What did the first record say?
For NaLi5N2, a GGA-PBE-relaxed structure gives the theoretical X-ray powder pattern in this record (Cu Kα (λ = 1.5418 Å)).
Kinematic intensities with the Lorentz-polarization factor, no thermal factor.

Main lines, low angle first (15 to 90 degrees two-theta):
2θ/deg, I/Imax
23.1, 92
26.3, 40
27.4, 100
33.4, 29
35.1, 27
36.3, 30
36.5, 52
44.1, 29
48.0, 78
48.6, 54

Structural model:
```
data_NaLi5N2
_chemical_formula_sum 'Na1 Li5 N2'
_symmetry_space_group_name_H-M 'P 1'
_symmetry_Int_Tables_number 1
_symmetry_space_group_name_Hall 'P 1'
_cell_length_a 3.852
_cell_length_b 3.748
_cell_length_c 6.601
_cell_angle_alpha 90.00
_cell_angle_beta 92.37
_cell_angle_gamma 90.00
loop_
_atom_site_label
_atom_site_type_symbol
_atom_site_fract_x
_atom_site_fract_y
_atom_site_fract_z
_atom_site_occupancy
Na1 Na 0.000 0.000 0.000 1
Li1 Li 0.197 0.000 0.367 1
Li2 Li 0.264 0.500 0.757 1
Li3 Li 0.629 0.500 0.126 1
Li4 Li 0.716 0.000 0.660 1
Li5 Li 0.727 0.500 0.466 1
N1 N 0.687 0.000 0.323 1
N2 N 0.766 0.500 0.790 1
```

Q: Number 1 is which compound?
A: NaLi5N2